Computed PXRD pattern
Compound: Zr4Mo
Radiation: Cu Kα X-rays
Structure: a crystal structure in the Materials Project, relaxed with GGA-PBE

Principal peaks in the range 2θ = 5–70°, in order of rising 2θ:
d_spacing, I (rel.)
3.528, 31
3.009, 6
2.881, 100
2.495, 23
2.289, 38
2.037, 6
1.920, 38
1.764, 45
1.504, 24
1.397, 13

Structural model:
```
Zr4Mo
1.0
0.000 4.989 4.989
4.989 0.000 4.989
4.989 4.989 0.000
Zr Mo
8 2
Direct
0.193 0.769 0.769
0.231 0.231 0.231
0.231 0.231 0.807
0.231 0.807 0.231
0.769 0.193 0.769
0.769 0.769 0.193
0.769 0.769 0.769
0.807 0.231 0.231
0.375 0.375 0.375
0.625 0.625 0.625
```